For Li2Hg2AsO6, a structure optimized by DFT (GGA-PBE) gives the calculated powder XRD pattern in this record (a wavelength of 1.5418 Å).
Kinematic intensities with the Lorentz-polarization factor, no thermal factor.

Crystal structure
```
data_Li2Hg2AsO6
_cell_length_a 5.6712
_cell_length_b 5.6712
_cell_length_c 14.8876
_cell_angle_alpha 90.00
_cell_angle_beta 90.00
_cell_angle_gamma 120.00
_symmetry_space_group_name_H-M 'R -3 m'
_symmetry_Int_Tables_number 166
_symmetry_space_group_name_Hall '-R 3 2"'
loop_
_atom_site_label
_atom_site_type_symbol
_atom_site_fract_x
_atom_site_fract_y
_atom_site_fract_z
_atom_site_occupancy
Li1 Li 0.0000 0.0000 0.0920 1
Hg1 Hg 0.0000 0.0000 0.2932 1
As1 As 0.0000 0.0000 0.5000 1
O1 O 0.0344 0.5172 0.2427 1
```

Largest 10 diffraction maxima, by angle, 2θ from 10° to 90°:
d/Å	I (rel.)	index
4.963	23.1	0 0 3
4.664	61.6	1 0 1
4.099	57.6	0 1 2
2.966	27.3	1 0 4
2.836	100.0	1 1 0
2.546	79.8	0 1 5
2.462	30.6	1 1 3
2.332	35.1	2 0 2
1.895	31.8	2 0 5
1.575	42.8	1 2 5